Simulated X-ray diffraction stick pattern
Compound: BaPm2NiO5
Radiation: Cu Kα (λ = 1.5418 Å)
Structure: a cell relaxed with PBE+U
Intensities are scaled so that the largest is 100.

Main lines, by angle (10° ≤ 2θ ≤ 90°):
2θ/deg, I/Imax
24.1, 11.8
30.5, 26.5
30.7, 100.0
37.8, 54.0
42.5, 14.0
49.3, 30.2
54.3, 13.3
57.0, 17.5
60.5, 9.2
61.6, 15.3
63.6, 9.6
70.3, 12.8

Cell lengths 7.5443, 7.5443, 7.5443 Å; angles 127.05, 127.05, 78.16 degrees
Sites, in units of the cell vectors:
Ba  0.2500  0.2500  0.0000
Ba  0.7500  0.7500  0.0000
Pm  0.1739  0.6739  0.8478
Pm  0.3261  0.1739  0.5000
Pm  0.6739  0.8261  0.5000
Pm  0.8261  0.3261  0.1522
Ni  0.2500  0.7500  0.5000
Ni  0.7500  0.2500  0.5000
O  0.0000  0.0000  0.0000
O  0.0119  0.2311  0.5000
O  0.2311  0.7311  0.2192
O  0.2689  0.4881  0.5000
O  0.4881  0.9881  0.2192
O  0.5000  0.5000  0.0000
O  0.5119  0.0119  0.7808
O  0.7311  0.5119  0.5000
O  0.7689  0.2689  0.7808
O  0.9881  0.7689  0.5000



Simulated X-ray diffraction stick pattern
Compound: Nd3Mn2Sb3O14
Radiation: Cu Kα (λ = 1.5418 Å)
Structure: a cell relaxed with PBE+U
Intensities are scaled so that the largest is 100.

Main lines, by angle (10° ≤ 2θ ≤ 90°):
2θ/deg, I/Imax
16.8, 10.9
29.0, 100.0
30.2, 30.7
33.9, 40.7
48.0, 33.7
49.5, 28.7
57.0, 15.1
57.7, 27.1
59.1, 13.4
60.1, 9.7
77.7, 11.6
82.7, 9.1

Cell lengths 7.3676, 7.3676, 7.3676 Å; angles 61.94, 61.94, 61.94 degrees
Sites, in units of the cell vectors:
Nd  0.0000  0.5000  0.5000
Nd  0.5000  0.0000  0.5000
Nd  0.5000  0.5000  0.0000
Mn  0.0000  0.0000  0.0000
Mn  0.5000  0.5000  0.5000
Sb  0.0000  0.0000  0.5000
Sb  0.0000  0.5000  0.0000
Sb  0.5000  0.0000  0.0000
O  0.0794  0.6799  0.6799
O  0.0918  0.0918  0.6459
O  0.0918  0.6459  0.0918
O  0.3201  0.3201  0.9206
O  0.3201  0.9206  0.3201
O  0.3541  0.9082  0.9082
O  0.3843  0.3843  0.3843
O  0.6157  0.6157  0.6157
O  0.6459  0.0918  0.0918
O  0.6799  0.0794  0.6799
O  0.6799  0.6799  0.0794
O  0.9082  0.3541  0.9082
O  0.9082  0.9082  0.3541
O  0.9206  0.3201  0.3201



What is the formula in the second record?
Nd3Mn2Sb3O14